Starting from DFT lattice parameters and positions (GGA-PBE), the powder X-ray diffraction pattern of BaS3 was computed for λ = 1.5418 Å (Cu Kα).
Lines closer than 0.1° are merged.

The 10 most intense peaks (10 to 90 degrees two-theta), most intense first:
2theta	I/Imax
33.26	100
27.75	92
17.96	47
25.51	46
36.39	43
60.59	36
40.86	28
46.68	26
46.37	23
42.38	21

Structure:
Lattice parameters (Å, degrees): 6.984 6.984 4.234 90.00 90.00 90.00
Fractional coordinates of all 8 atoms:
Ba 0.000 0.000 0.000
Ba 0.500 0.500 0.000
S 0.000 0.500 0.210
S 0.178 0.678 0.474
S 0.322 0.178 0.526
S 0.500 0.000 0.790
S 0.678 0.822 0.526
S 0.822 0.322 0.474


Starting from DFT lattice parameters and positions (GGA-PBE), the powder X-ray diffraction pattern of BaS2 was computed for λ = 1.5418 Å (Cu Kα).
Lines closer than 0.1° are merged.

The 10 most intense peaks (10 to 90 degrees two-theta), most intense first:
2theta	I/Imax
26.25	100
22.51	68
21.53	60
26.87	53
38.91	46
42.08	43
35.18	35
38.62	26
21.29	26
37.59	25

Structure:
Lattice parameters (Å, degrees): 5.258 5.258 9.120 114.49 114.49 54.77
Fractional coordinates of all 6 atoms:
Ba 0.141 0.859 0.750
Ba 0.859 0.141 0.250
S 0.195 0.483 0.980
S 0.483 0.195 0.480
S 0.517 0.805 0.520
S 0.805 0.517 0.020


Starting from DFT lattice parameters and positions (GGA-PBE), the powder X-ray diffraction pattern of BaS was computed for λ = 1.5418 Å (Cu Kα).
Lines closer than 0.1° are merged.

The 10 most intense peaks (10 to 90 degrees two-theta), most intense first:
2theta	I/Imax
27.63	100
39.47	74
23.87	65
46.65	34
64.54	34
48.86	26
71.59	25
62.72	14
57.05	12
89.87	11

Structure:
Lattice parameters (Å, degrees): 4.566 4.566 4.566 60.00 60.00 60.00
Fractional coordinates of all 2 atoms:
Ba 0.000 0.000 0.000
S 0.500 0.500 0.500


Starting from DFT lattice parameters and positions (GGA-PBE), the powder X-ray diffraction pattern of BaSb2S4 was computed for λ = 1.5418 Å (Cu Kα).
Lines closer than 0.1° are merged.

The 10 most intense peaks (10 to 90 degrees two-theta), most intense first:
2theta	I/Imax
24.12	100
31.60	69
24.25	58
22.91	52
30.13	48
23.70	45
39.86	43
32.22	43
27.47	37
30.57	36

Structure:
Lattice parameters (Å, degrees): 9.053 8.381 20.890 90.00 100.32 90.00
Fractional coordinates of all 56 atoms:
Ba 0.017 0.052 0.297
Ba 0.017 0.448 0.797
Ba 0.482 0.546 0.195
Ba 0.482 0.954 0.695
Ba 0.518 0.046 0.305
Ba 0.518 0.454 0.805
Ba 0.983 0.552 0.203
Ba 0.983 0.948 0.703
Sb 0.073 0.699 0.969
Sb 0.073 0.801 0.469
Sb 0.202 0.518 0.623
Sb 0.202 0.982 0.123
Sb 0.343 0.008 0.885
Sb 0.343 0.492 0.385
Sb 0.353 0.156 0.502
Sb 0.353 0.344 0.002
Sb 0.647 0.656 0.998
Sb 0.647 0.844 0.498
Sb 0.657 0.508 0.615
Sb 0.657 0.992 0.115
Sb 0.798 0.018 0.877
Sb 0.798 0.482 0.377
Sb 0.927 0.199 0.531
Sb 0.927 0.301 0.031
S 0.003 0.164 0.151
S 0.003 0.336 0.651
S 0.131 0.005 0.573
S 0.131 0.495 0.073
S 0.155 0.152 0.964
S 0.155 0.348 0.464
S 0.241 0.671 0.727
S 0.241 0.829 0.227
S 0.267 0.154 0.783
S 0.267 0.346 0.283
S 0.277 0.554 0.915
S 0.277 0.946 0.415
S 0.426 0.157 0.152
S 0.426 0.343 0.652
S 0.466 0.711 0.565
S 0.466 0.789 0.065
S 0.534 0.211 0.935
S 0.534 0.289 0.435
S 0.574 0.657 0.348
S 0.574 0.843 0.848
S 0.723 0.054 0.585
S 0.723 0.446 0.085
S 0.733 0.654 0.717
S 0.733 0.846 0.217
S 0.759 0.171 0.773
S 0.759 0.329 0.273
S 0.845 0.652 0.536
S 0.845 0.848 0.036
S 0.869 0.505 0.927
S 0.869 0.995 0.427
S 0.997 0.664 0.349
S 0.997 0.836 0.849


Starting from DFT lattice parameters and positions (GGA-PBE), the powder X-ray diffraction pattern of Ba2SiS4 was computed for λ = 1.5418 Å (Cu Kα).
Lines closer than 0.1° are merged.

The 10 most intense peaks (10 to 90 degrees two-theta), most intense first:
2theta	I/Imax
21.73	100
26.11	73
30.67	62
25.17	53
35.53	44
23.68	44
33.75	37
24.76	36
31.53	36
39.67	34

Structure:
Lattice parameters (Å, degrees): 8.998 6.826 12.410 90.00 90.00 90.00
Fractional coordinates of all 28 atoms:
Ba 0.018 0.250 0.170
Ba 0.130 0.750 0.421
Ba 0.370 0.250 0.921
Ba 0.482 0.750 0.670
Ba 0.518 0.250 0.330
Ba 0.630 0.750 0.079
Ba 0.870 0.250 0.579
Ba 0.982 0.750 0.830
Si 0.231 0.750 0.076
Si 0.269 0.250 0.576
Si 0.731 0.750 0.424
Si 0.769 0.250 0.924
S 0.004 0.250 0.907
S 0.176 0.505 0.646
S 0.176 0.995 0.646
S 0.190 0.250 0.413
S 0.310 0.750 0.913
S 0.324 0.005 0.146
S 0.324 0.495 0.146
S 0.496 0.750 0.407
S 0.504 0.250 0.593
S 0.676 0.505 0.854
S 0.676 0.995 0.854
S 0.690 0.250 0.087
S 0.810 0.750 0.587
S 0.824 0.005 0.354
S 0.824 0.495 0.354
S 0.996 0.750 0.093


Starting from DFT lattice parameters and positions (GGA-PBE), the powder X-ray diffraction pattern of Ba2SnS4 was computed for λ = 1.5418 Å (Cu Kα).
Lines closer than 0.1° are merged.

The 10 most intense peaks (10 to 90 degrees two-theta), most intense first:
2theta	I/Imax
29.21	100
24.92	97
31.16	92
21.83	61
35.45	37
31.87	35
21.95	35
34.91	35
38.23	34
24.15	30

Structure:
Lattice parameters (Å, degrees): 8.617 8.684 12.173 90.00 112.84 90.00
Fractional coordinates of all 28 atoms:
Ba 0.040 0.193 0.350
Ba 0.040 0.307 0.850
Ba 0.426 0.123 0.165
Ba 0.426 0.377 0.665
Ba 0.574 0.623 0.335
Ba 0.574 0.877 0.835
Ba 0.960 0.693 0.150
Ba 0.960 0.807 0.650
Sn 0.300 0.689 0.991
Sn 0.300 0.811 0.491
Sn 0.700 0.189 0.509
Sn 0.700 0.311 0.009
S 0.087 0.618 0.445
S 0.087 0.882 0.945
S 0.246 0.015 0.608
S 0.246 0.485 0.108
S 0.269 0.602 0.795
S 0.269 0.898 0.295
S 0.427 0.192 0.902
S 0.427 0.308 0.402
S 0.573 0.692 0.598
S 0.573 0.808 0.098
S 0.731 0.102 0.705
S 0.731 0.398 0.205
S 0.754 0.515 0.892
S 0.754 0.985 0.392
S 0.913 0.118 0.055
S 0.913 0.382 0.555


Starting from DFT lattice parameters and positions (GGA-PBE), the powder X-ray diffraction pattern of Ba3Sn2S7 was computed for λ = 1.5418 Å (Cu Kα).
Lines closer than 0.1° are merged.

The 10 most intense peaks (10 to 90 degrees two-theta), most intense first:
2theta	I/Imax
23.94	100
25.86	57
21.41	51
32.34	47
31.53	43
23.18	43
23.00	37
43.92	35
44.50	31
35.61	31

Structure:
Lattice parameters (Å, degrees): 11.257 6.891 19.010 90.00 100.66 90.00
Fractional coordinates of all 48 atoms:
Ba 0.013 0.219 0.109
Ba 0.013 0.281 0.609
Ba 0.243 0.224 0.835
Ba 0.243 0.276 0.335
Ba 0.443 0.233 0.611
Ba 0.443 0.267 0.111
Ba 0.557 0.733 0.889
Ba 0.557 0.767 0.389
Ba 0.757 0.724 0.665
Ba 0.757 0.776 0.165
Ba 0.987 0.719 0.391
Ba 0.987 0.781 0.891
Sn 0.225 0.700 0.196
Sn 0.225 0.800 0.696
Sn 0.294 0.703 0.504
Sn 0.294 0.797 0.004
Sn 0.706 0.203 0.996
Sn 0.706 0.297 0.496
Sn 0.775 0.200 0.304
Sn 0.775 0.300 0.804
S 0.048 0.558 0.231
S 0.048 0.942 0.731
S 0.175 0.580 0.068
S 0.175 0.920 0.568
S 0.182 0.098 0.989
S 0.182 0.402 0.489
S 0.251 0.044 0.193
S 0.251 0.456 0.693
S 0.267 0.681 0.883
S 0.267 0.819 0.383
S 0.403 0.528 0.247
S 0.403 0.972 0.747
S 0.498 0.725 0.560
S 0.498 0.775 0.060
S 0.502 0.225 0.940
S 0.502 0.275 0.440
S 0.597 0.028 0.253
S 0.597 0.472 0.753
S 0.733 0.181 0.617
S 0.733 0.319 0.117
S 0.749 0.544 0.307
S 0.749 0.956 0.807
S 0.818 0.598 0.511
S 0.818 0.902 0.011
S 0.825 0.080 0.432
S 0.825 0.420 0.932
S 0.952 0.058 0.269
S 0.952 0.442 0.769